The following is a theoretical powder diffractogram of Li3Mn4B4O12. It was derived from a cell relaxed with GGA+U, using Cu Ka.

Structural model:
a b c (Å): 5.263 6.166 9.039
angles (deg): 72.00 88.79 65.13
Atoms (fractional coordinates):
Li 0.000 0.000 0.000
Li 0.147 0.340 0.284
Li 0.638 0.372 0.767
Mn 0.008 0.936 0.670
Mn 0.130 0.434 0.590
Mn 0.518 0.919 0.198
Mn 0.617 0.440 0.087
B 0.020 0.921 0.349
B 0.120 0.425 0.923
B 0.495 0.970 0.852
B 0.622 0.430 0.423
O 0.226 0.517 0.783
O 0.240 0.978 0.361
O 0.269 0.364 0.067
O 0.304 0.071 0.715
O 0.370 0.411 0.417
O 0.411 0.856 0.990
O 0.730 0.506 0.285
O 0.743 0.993 0.850
O 0.779 0.362 0.566
O 0.861 0.998 0.205
O 0.882 0.389 0.912
O 0.936 0.799 0.489

Largest 10 diffraction maxima, sorted by position, 2θ = 15–90°:
| d (Å) | I (rel.) | h k l |
| --- | --- | --- |
| 4.382 | 75 | 1 0 -1 |
| 4.264 | 21 | 0 0 2 |
| 4.033 | 38 | 0 1 2 |
| 3.935 | 60 | 1 0 1 |
| 2.639 | 100 | 0 2 0 |
| 2.630 | 29 | 2 1 0 |
| 2.585 | 22 | 1 0 -3 |
| 2.253 | 21 | 0 1 4 |
| 2.215 | 50 | 2 2 2 |
| 1.500 | 21 | -1 3 3 |